Diffraction record for CuAgSnHgSe4. The X-ray powder pattern is calculated, not measured: it uses a PBE-relaxed structure and a wavelength of 1.5418 Å.

Cell and atoms:
a = 5.918 Å, b = 5.918 Å, c = 12.460 Å
α = 90.00°, β = 90.00°, γ = 90.00°
Fractional coordinates of all 16 atoms:
Cu: 0.000 0.000 0.000
Cu: 0.500 0.500 0.500
Ag: 0.000 0.500 0.250
Ag: 0.500 0.000 0.750
Sn: 0.000 0.000 0.500
Sn: 0.500 0.500 0.000
Hg: 0.000 0.500 0.750
Hg: 0.500 0.000 0.250
Se: 0.232 0.242 0.115
Se: 0.242 0.768 0.885
Se: 0.258 0.732 0.385
Se: 0.268 0.258 0.615
Se: 0.732 0.742 0.615
Se: 0.742 0.268 0.385
Se: 0.758 0.232 0.885
Se: 0.768 0.758 0.115

Main lines, most intense first (10 to 90 degrees two-theta):
(1 1 2), 25.65°, intensity 100
(2 0 4), 42.12°, intensity 49
(1 3 2), 50.95°, intensity 30
(2 2 0), 43.24°, intensity 23
(1 1 6), 48.97°, intensity 16
(4 2 4), 78.54°, intensity 15
(3 1 6), 67.36°, intensity 13
(2 2 8), 76.20°, intensity 8
(4 0 0), 62.81°, intensity 7
(5 1 2), 85.02°, intensity 7